Record 1
This entry pairs a crystal structure of Nb6CrPd with its computed powder XRD pattern. Radiation: Cu Kα (λ = 1.5418 Å). Structure: a cell relaxed with GGA-PBE.
Peak positions follow from Bragg's law for the DFT cell and can differ from measured ones.

Atomic structure:
```
data_Nb6CrPd
_chemical_formula_sum 'Nb12 Cr2 Pd2'
_space_group_name_H-M_alt 'I 4/m m m'
_space_group_IT_number 139
_space_group_name_Hall '-I 4 2'
_cell_length_a 4.611
_cell_length_b 4.611
_cell_length_c 12.923
_cell_angle_alpha 90.00
_cell_angle_beta 90.00
_cell_angle_gamma 90.00
loop_
_atom_site_label
_atom_site_fract_x
_atom_site_fract_y
_atom_site_fract_z
Nb1 0.000 0.000 0.246
Nb2 0.000 0.500 0.122
Cr1 0.000 0.000 0.000
Pd1 0.000 0.000 0.500
```

Most intense lines, 2θ from 10° to 90°, low angle first:
2θ/deg	intensity	h k l
20.5	2.4	1 0 1
28.4	2.2	1 0 3
39.1	51.0	2 0 0
39.3	100.0	1 1 4
56.4	16.9	2 2 0
57.0	8.0	0 0 8
70.9	33.0	3 1 4
71.3	15.9	2 0 8
84.0	5.2	4 0 0
84.4	10.1	2 2 8


Record 2
This entry pairs a crystal structure of HoSi4Pd6 with its computed powder XRD pattern. Radiation: Cu Kα (λ = 1.5418 Å). Structure: a cell relaxed with GGA-PBE.
Peak positions follow from Bragg's law for the DFT cell and can differ from measured ones.

Atomic structure:
```
data_HoSi4Pd6
_chemical_formula_sum 'Ho1 Si4 Pd6'
_space_group_name_H-M_alt 'P -6 m 2'
_space_group_IT_number 187
_space_group_name_Hall 'P -6 2'
_cell_length_a 7.1559
_cell_length_b 7.1559
_cell_length_c 3.8643
_cell_angle_alpha 90.00
_cell_angle_beta 90.00
_cell_angle_gamma 120.00
loop_
_atom_site_label
_atom_site_fract_x
_atom_site_fract_y
_atom_site_fract_z
Ho1 0.0000 0.0000 0.0000
Si1 0.1921 0.3841 0.5000
Si2 0.6667 0.3333 0.0000
Pd1 0.0687 0.5344 0.0000
Pd2 0.3951 0.1975 0.5000
```

Most intense lines, 2θ from 10° to 90°, low angle first:
2θ/deg	intensity	h k l
27.2	18.4	1 0 1
28.8	19.3	2 0 0
34.2	15.8	1 1 1
37.2	100.0	2 0 1
38.4	24.8	2 1 0
43.8	14.2	3 0 0
45.3	15.4	2 1 1
47.0	18.4	0 0 2
51.1	19.0	2 2 0
70.6	13.9	3 2 1